Diffraction record for RbSr2GeI8. The X-ray diffraction stick pattern is computed, not measured: it uses a GGA-PBE-relaxed structure and Cu Ka.
Neutral-atom scattering factors, no anomalous dispersion.

Most intense lines, 2θ from 10° to 90°, sorted by position:
| 2theta | I_rel | h k l |
| --- | --- | --- |
| 17.1 | 41 | 1 1 0 |
| 24.1 | 100 | 1 1 -2 |
| 24.2 | 40 | 1 1 2 |
| 24.6 | 39 | 2 0 0 |
| 26.8 | 56 | 1 -2 0 |
| 27.0 | 48 | 1 2 0 |
| 30.9 | 37 | 1 1 -3 |
| 32.3 | 100 | 2 -1 2 |
| 32.4 | 70 | 2 1 2 |
| 34.3 | 43 | 0 0 4 |

Structural model:
Cell lengths 7.247, 7.458, 10.446 Å; angles 90.03, 90.10, 90.36 degrees
Space group P-1 (No. 2)
Inequivalent atoms, fractional coordinates:
1 Rb 0.000 0.000 0.000
2 Sr 0.500 0.500 0.271
3 Ge 0.000 0.000 0.500
4 I 0.232 0.340 0.500
5 I 0.241 0.861 0.294
6 I 0.242 0.862 0.707
7 I 0.248 0.455 0.000